Record 1
Computed XRD peak list of NdYO3 for Cu Kα (λ = 1.5418 Å), from a crystal structure in Alexandria, relaxed with PBE.
Lines closer than 0.1° are merged.

Crystal structure
a = 5.7623 Å, b = 5.7623 Å, c = 16.7453 Å
α = 90.00°, β = 90.00°, γ = 120.00°
Space group R32 (No. 155, hexagonal axes)
Asymmetric unit:
Nd  0.0000  0.0000  0.1425 x6
Y  0.0000  0.0000  0.3509 x6
O  0.0159  0.2995  0.2512 x18

Top 10 peaks for 2θ from 10° to 90°, by intensity:
- 27.82 deg, rel. 100, (1 0 4)
- 31.04 deg, rel. 90, (1 1 0)
- 45.24 deg, rel. 47, (1 1 6)
- 42.16 deg, rel. 39, (0 2 4)
- 53.27 deg, rel. 37, (2 1 4)
- 55.22 deg, rel. 27, (3 0 0)
- 20.72 deg, rel. 24, (0 1 2)
- 58.10 deg, rel. 16, (1 0 10)
- 76.00 deg, rel. 13, (2 1 10)
- 71.84 deg, rel. 13, (1 3 4)


Record 2
Computed XRD peak list of NdYO2 for Cu Kα (λ = 1.5418 Å), from a crystal structure in Alexandria, relaxed with PBE.
Lines closer than 0.1° are merged.

Crystal structure
a = 3.4519 Å, b = 3.4519 Å, c = 17.7764 Å
α = 90.00°, β = 90.00°, γ = 120.00°
Space group R-3m (No. 166, hexagonal axes)
Asymmetric unit:
Nd  0.0000  0.0000  0.0000 x3
Y  0.0000  0.0000  0.5000 x3
O  0.0000  0.0000  0.2358 x6

Top 10 peaks for 2θ from 10° to 90°, by intensity:
- 36.21 deg, rel. 100, (1 0 4)
- 31.58 deg, rel. 83, (0 1 2)
- 51.23 deg, rel. 34, (0 1 8)
- 30.16 deg, rel. 32, (0 0 6)
- 53.06 deg, rel. 32, (1 1 0)
- 62.26 deg, rel. 27, (1 1 6)
- 65.93 deg, rel. 16, (0 2 4)
- 60.60 deg, rel. 15, (1 0 10)
- 89.50 deg, rel. 14, (2 1 4)
- 86.60 deg, rel. 14, (1 1 12)


Record 3
Computed XRD peak list of Nd3YO6 for Cu Kα (λ = 1.5418 Å), from a crystal structure in Alexandria, relaxed with PBE.
Lines closer than 0.1° are merged.

Crystal structure
a = 10.0136 Å, b = 10.0136 Å, c = 11.6947 Å
α = 90.00°, β = 90.00°, γ = 120.00°
Space group R-3 (No. 148, hexagonal axes)
Asymmetric unit:
Nd  0.0387  0.2659  0.2094 x18
Y  0.0000  0.0000  0.0000 x3
Y  0.0000  0.0000  0.5000 x3
O  0.0276  0.1854  0.8745 x18
O  0.0283  0.2148  0.4049 x18

Top 10 peaks for 2θ from 10° to 90°, by intensity:
- 28.28 deg, rel. 100, (2 1 1)
- 31.28 deg, rel. 58, (3 -2 2)
- 29.03 deg, rel. 45, (1 1 3)
- 22.81 deg, rel. 37, (0 0 3)
- 48.08 deg, rel. 30, (1 4 0)
- 41.38 deg, rel. 27, (2 1 4)
- 25.58 deg, rel. 23, (2 0 2)
- 50.23 deg, rel. 22, (2 -1 6)
- 40.56 deg, rel. 20, (3 1 2)
- 46.29 deg, rel. 17, (3 2 1)